This entry pairs a crystal structure of CsHg3Bi with its computed PXRD pattern. Radiation: Cu Kα (λ = 1.5418 Å). Structure: the GGA-PBE geometry in Alexandria.
Peak positions follow from Bragg's law for the DFT cell and can differ from measured ones.

Largest 10 diffraction maxima, sorted by position, 2θ = 10–90°:
- 2θ = 27.0°, d 3.304, rel. 44
- 2θ = 27.5°, d 3.241, rel. 85
- 2θ = 28.1°, d 3.178, rel. 39
- 2θ = 28.4°, d 3.148, rel. 89
- 2θ = 32.8°, d 2.734, rel. 98
- 2θ = 33.4°, d 2.685, rel. 100
- 2θ = 33.7°, d 2.661, rel. 36
- 2θ = 36.8°, d 2.444, rel. 55
- 2θ = 44.2°, d 2.050, rel. 38
- 2θ = 48.2°, d 1.889, rel. 37

Structural model:
Lattice parameters (Å, degrees): 8.2334 5.3686 8.5496 90.00 109.28 90.00
Space group P2_1/m (No. 11)
Unique sites:
Cs1 0.1700 0.2500 0.2032 [2 per cell]
Hg1 0.1233 0.2500 0.7381 [2 per cell]
Hg2 0.3672 0.7500 0.9683 [2 per cell]
Hg3 0.4787 0.2500 0.6500 [2 per cell]
Bi1 0.2776 0.7500 0.5710 [2 per cell]